Structure and calculated X-ray powder pattern of Co2As2O7 (the GGA+U geometry in the Materials Project; Cu Ka).

Top 8 peaks for 10° ≤ 2θ ≤ 80°, sorted by position:
2θ/deg	Rel. int.	h k l
27.55	52	1 0 1
27.86	100	1 1 -1
29.96	48	-1 1 1
34.62	30	0 0 2
43.55	15	-1 2 1
47.31	14	2 0 -2
54.15	25	2 -1 2
60.69	13	2 -3 0

Structural model:
Lattice parameters (Å, degrees): 4.8613 5.4500 5.4555 105.33 97.34 97.46
Space group P1 (No. 1)
Unique sites:
1 Co 0.0000 0.0000 0.0000
2 Co 0.0016 0.3842 0.6167
3 As 0.4029 0.9276 0.5416
4 As 0.6012 0.4501 0.0673
5 O 0.2097 0.7604 0.7056
6 O 0.2120 0.0943 0.3765
7 O 0.2727 0.2879 0.9050
8 O 0.5110 0.6945 0.3060
9 O 0.7260 0.0968 0.7122
10 O 0.7915 0.2853 0.2356
11 O 0.7942 0.6185 0.9034

Structure and calculated X-ray powder pattern of Co2As2O9 (the GGA+U geometry in the Materials Project; Cu Ka).

Top 8 peaks for 10° ≤ 2θ ≤ 80°, sorted by position:
2θ/deg	Rel. int.	h k l
12.19	37	0 2 0
13.37	35	0 1 1
17.07	77	0 2 1
30.19	20	2 1 -1
30.35	100	0 3 2
33.12	29	0 5 1
33.42	19	2 2 -3
36.26	25	2 1 0

Structural model:
Lattice parameters (Å, degrees): 6.4469 14.5169 9.5376 90.00 128.74 90.00
Space group P2_1/c (No. 14)
Unique sites:
1 Co 0.1744 0.2458 0.1329
2 Co 0.3203 0.6065 0.0861
3 As 0.0992 0.0778 0.3395
4 As 0.3957 0.6921 0.4522
5 O 0.0214 0.1756 0.9651
6 O 0.0373 0.1266 0.4751
7 O 0.1724 0.7243 0.9115
8 O 0.1838 0.5347 0.8704
9 O 0.2096 0.5864 0.3805
10 O 0.3228 0.1478 0.3472
11 O 0.3502 0.1683 0.8300
12 O 0.4491 0.5176 0.2378
13 O 0.4689 0.7110 0.3076

Structure and calculated X-ray powder pattern of Co2As2O7 (the GGA+U geometry in the Materials Project; Cu Ka).

Top 8 peaks for 10° ≤ 2θ ≤ 80°, sorted by position:
2θ/deg	Rel. int.	h k l
27.12	52	1 0 1
27.41	100	1 -1 1
27.64	47	1 1 0
27.90	99	1 1 -1
30.75	82	-1 1 1
34.73	31	0 0 2
52.97	37	2 -1 2
58.58	30	0 2 2

Structural model:
Lattice parameters (Å, degrees): 4.9062 5.3483 5.4626 107.04 95.91 97.26
Space group P1 (No. 1)
Unique sites:
1 Co 0.0000 0.0000 0.0000
2 Co 0.0111 0.3725 0.6135
3 As 0.4009 0.9283 0.5466
4 As 0.6099 0.4385 0.0595
5 O 0.2098 0.0927 0.3787
6 O 0.2128 0.7471 0.7062
7 O 0.2796 0.2706 0.8992
8 O 0.5078 0.6858 0.3035
9 O 0.7273 0.1016 0.7130
10 O 0.8004 0.6225 0.9033
11 O 0.8005 0.2770 0.2319

Structure and calculated X-ray powder pattern of Co3As2O8 (the GGA+U geometry in the Materials Project; Cu Ka).

Top 8 peaks for 10° ≤ 2θ ≤ 80°, sorted by position:
2θ/deg	Rel. int.	h k l
26.11	51	1 -2 1
27.86	59	2 1 -2
27.96	71	1 0 2
30.02	100	1 -2 2
30.75	55	0 2 1
32.71	75	2 -2 0
33.01	50	2 0 -3
38.37	61	3 0 0

Structural model:
Lattice parameters (Å, degrees): 7.5024 7.7131 9.7104 110.80 107.95 92.16
Space group P1 (No. 1)
Unique sites:
1 Co 0.0000 0.0000 0.0000
2 Co 0.0200 0.5878 0.6286
3 Co 0.1284 0.7670 0.4243
4 Co 0.3339 0.3623 0.2957
5 Co 0.3928 0.5185 0.9378
6 Co 0.6613 0.1689 0.7706
7 Co 0.7104 0.2155 0.4460
8 Co 0.7350 0.8230 0.1061
9 Co 0.9611 0.0122 0.6868
10 As 0.0287 0.5543 0.0966
11 As 0.1828 0.2562 0.5505
12 As 0.3641 0.8952 0.8136
13 As 0.6445 0.5858 0.7449
14 As 0.6502 0.7396 0.3384
15 As 0.6659 0.2493 0.1112
16 O 0.1116 0.8795 0.8109
17 O 0.1146 0.5017 0.2700
18 O 0.1647 0.0456 0.5789
19 O 0.1931 0.4268 0.7309
20 O 0.2010 0.1118 0.1568
21 O 0.2395 0.5813 0.0613
22 O 0.2522 0.7051 0.6187
23 O 0.3712 0.2987 0.4946
24 O 0.4202 0.1442 0.9531
25 O 0.4725 0.7774 0.9384
26 O 0.4751 0.6731 0.3932
27 O 0.5475 0.9409 0.7412
28 O 0.5868 0.2990 0.2745
29 O 0.6003 0.4090 0.8265
30 O 0.6420 0.5991 0.1426
31 O 0.6592 0.9384 0.2890
32 O 0.7577 0.1047 0.5990
33 O 0.7800 0.4813 0.6263
34 O 0.7961 0.0564 0.1010
35 O 0.8345 0.7352 0.9300
36 O 0.8750 0.7540 0.4787
37 O 0.9230 0.1492 0.8724
38 O 0.9744 0.2989 0.4398
39 O 0.9949 0.7907 0.2176

Structure and calculated X-ray powder pattern of Co2As2O7 (the GGA+U geometry in the Materials Project; Cu Ka).

Top 8 peaks for 10° ≤ 2θ ≤ 80°, sorted by position:
2θ/deg	Rel. int.	h k l
27.58	48	1 1 -1
27.75	100	1 0 -2
30.30	47	1 -2 0
34.80	15	0 2 -2
34.95	15	0 2 2
47.44	14	2 -2 2
53.92	13	2 1 -3
54.10	12	2 1 3

Structural model:
Lattice parameters (Å, degrees): 4.8725 6.5201 8.7109 90.24 90.06 102.06
Space group P1 (No. 1)
Unique sites:
1 Co 0.0000 0.0000 0.0000
2 Co 0.0013 0.4945 0.5036
3 Co 0.9969 0.9987 0.6185
4 Co 0.9981 0.5028 0.1238
5 As 0.3924 0.2535 0.3064
6 As 0.3916 0.7521 0.8076
7 As 0.5911 0.7774 0.3072
8 As 0.5917 0.2759 0.8086
9 O 0.2026 0.7449 0.6390
10 O 0.2041 0.7408 0.9756
11 O 0.2061 0.2393 0.4754
12 O 0.2104 0.2503 0.1353
13 O 0.2874 0.0809 0.8084
14 O 0.2883 0.5800 0.3121
15 O 0.4206 0.9844 0.2919
16 O 0.4254 0.4850 0.7944
17 O 0.7361 0.8867 0.8104
18 O 0.7384 0.3858 0.3115
19 O 0.7822 0.7673 0.1432
20 O 0.7824 0.7781 0.4711
21 O 0.7842 0.2754 0.9718
22 O 0.7863 0.2681 0.6458

Structure and calculated X-ray powder pattern of Co2As2O5 (the GGA+U geometry in the Materials Project; Cu Ka).

Top 8 peaks for 10° ≤ 2θ ≤ 80°, sorted by position:
2θ/deg	Rel. int.	h k l
11.35	93	0 1 1
28.93	69	0 3 1
29.36	49	-1 2 2
30.28	60	1 1 -2
31.50	100	2 2 1
33.10	46	2 1 -1
33.19	57	2 2 0
34.46	87	2 -1 1

Structural model:
Lattice parameters (Å, degrees): 6.3241 9.4497 9.4938 65.82 81.98 79.15
Space group P-1 (No. 2)
Unique sites:
1 Co 0.0972 0.3912 0.1522
2 Co 0.1456 0.9389 0.6293
3 Co 0.3252 0.2649 0.4556
4 Co 0.4007 0.5891 0.8442
5 As 0.2131 0.6096 0.5139
6 As 0.2306 0.7744 0.0098
7 As 0.2613 0.2811 0.8339
8 As 0.3855 0.0329 0.2557
9 O 0.0100 0.1990 0.8722
10 O 0.0292 0.3406 0.3844
11 O 0.1234 0.7656 0.8421
12 O 0.1704 0.9697 0.4074
13 O 0.1759 0.4311 0.9086
14 O 0.2394 0.3905 0.6228
15 O 0.3147 0.5612 0.0894
16 O 0.3742 0.0569 0.6355
17 O 0.3786 0.2315 0.2421
18 O 0.4049 0.6419 0.6184

Structure and calculated X-ray powder pattern of Co2As2O7 (the GGA+U geometry in the Materials Project; Cu Ka).

Top 8 peaks for 10° ≤ 2θ ≤ 80°, sorted by position:
2θ/deg	Rel. int.	h k l
20.26	9	0 1 -1
27.68	100	0 0 2
30.46	32	2 0 0
34.90	20	2 0 2
44.32	9	3 1 0
47.58	9	2 -2 0
54.03	17	1 1 4
66.08	12	-1 1 4

Structural model:
Lattice parameters (Å, degrees): 6.4895 6.8368 6.8369 79.76 70.89 70.91
Space group P1 (No. 1)
Unique sites:
1 Co 0.0000 0.0000 0.0000
2 Co 0.0035 0.6242 0.3773
3 Co 0.5006 0.4985 0.5012
4 Co 0.5038 0.1238 0.8755
5 As 0.0578 0.5023 0.8853
6 As 0.4821 0.6056 0.9850
7 As 0.5201 0.0161 0.3939
8 As 0.9458 0.1201 0.4940
9 O 0.0124 0.6791 0.0570
10 O 0.1383 0.5817 0.6235
11 O 0.1471 0.2405 0.9622
12 O 0.2268 0.1162 0.4879
13 O 0.3772 0.5410 0.2434
14 O 0.3880 0.8629 0.9142
15 O 0.4323 0.4557 0.8321
16 O 0.5761 0.1658 0.5426
17 O 0.6191 0.7584 0.4613
18 O 0.6228 0.0801 0.1354
19 O 0.7757 0.4997 0.9062
20 O 0.8596 0.3819 0.4165
21 O 0.8623 0.0422 0.7565
22 O 0.9980 0.9438 0.3194

Structure and calculated X-ray powder pattern of Co2As2O7 (the GGA+U geometry in the Materials Project; Cu Ka).

Top 8 peaks for 10° ≤ 2θ ≤ 80°, sorted by position:
2θ/deg	Rel. int.	h k l
27.58	51	0 0 5
27.75	89	1 0 -4
28.17	40	1 1 4
28.35	84	1 2 2
29.51	100	1 -2 0
34.00	33	0 2 -4
34.97	25	2 0 2
47.05	27	0 4 2

Structural model:
Lattice parameters (Å, degrees): 5.4077 7.8046 16.2929 82.95 88.72 85.35
Space group P-1 (No. 2)
Unique sites:
1 Co 0.0054 0.4679 0.3384
2 Co 0.1625 0.0934 0.1333
3 Co 0.2255 0.1089 0.4615
4 Co 0.3802 0.6786 0.9366
5 Co 0.4055 0.7577 0.2614
6 As 0.1181 0.5324 0.1301
7 As 0.1185 0.1099 0.6718
8 As 0.2906 0.6783 0.4738
9 As 0.3036 0.1203 0.9238
10 As 0.4922 0.7633 0.7237
11 O 0.0425 0.6626 0.5398
12 O 0.0564 0.0420 0.5783
13 O 0.0563 0.6350 0.8834
14 O 0.0846 0.2761 0.8762
15 O 0.1034 0.9413 0.2542
16 O 0.1570 0.9330 0.9237
17 O 0.2190 0.5471 0.2285
18 O 0.2199 0.6572 0.3729
19 O 0.2521 0.3029 0.6763
20 O 0.2517 0.6469 0.7157
21 O 0.2707 0.2522 0.3480
22 O 0.3517 0.5512 0.0574
23 O 0.3570 0.1674 0.0213
24 O 0.4026 0.9914 0.7054
25 O 0.4152 0.2415 0.1750
26 O 0.4424 0.8712 0.1408
27 O 0.4480 0.8572 0.4784
28 O 0.5000 0.5000 0.5000

Structure and calculated X-ray powder pattern of SmCoAsO (the GGA+U geometry in the Materials Project; Cu Ka).

Top 8 peaks for 10° ≤ 2θ ≤ 80°, sorted by position:
2θ/deg	Rel. int.	h k l
31.49	22	1 1 0
31.59	100	1 0 2
33.48	14	1 1 1
38.90	18	1 1 2
45.13	35	2 0 0
56.13	39	2 1 2
56.32	31	1 1 4
74.75	12	3 0 2

Structural model:
Lattice parameters (Å, degrees): 4.0179 4.0179 7.9859 90.00 90.00 90.00
Space group P4/nmm (No. 129, origin choice 2)
Unique sites:
1 Sm 0.2500 0.2500 0.1429
2 Co 0.2500 0.7500 0.5000
3 As 0.2500 0.2500 0.6398
4 O 0.2500 0.7500 0.0000